Entry 1:
Simulated powder XRD pattern
Compound: K2SO4
Radiation: Cu Kα
Structure: a cell relaxed with GGA-PBE
Intensities are scaled so that the largest is 1000.

Cell and atoms:
```
data_K2SO4
_space_group_name_H-M_alt 'C 1 2/c 1'
_space_group_IT_number 15
_cell_length_a 6.0304
_cell_length_b 9.9646
_cell_length_c 8.0297
_cell_angle_alpha 90.00
_cell_angle_beta 90.19
_cell_angle_gamma 90.00
loop_
_space_group_symop_operation_xyz
'x,y,z'
'-x,-y,-z'
'-x,y,-z+1/2'
'x,-y,z+1/2'
'x+1/2,y+1/2,z'
'-x+1/2,-y+1/2,-z'
'-x+1/2,y+1/2,-z+1/2'
'x+1/2,-y+1/2,z+1/2'
loop_
_atom_site_label
_atom_site_type_symbol
_atom_site_fract_x
_atom_site_fract_y
_atom_site_fract_z
_atom_site_occupancy
K1 K 0.0000 0.0000 0.0000 1
K2 K 0.0000 0.3080 0.2500 1
S1 S 0.0000 0.3507 0.7500 1
O1 O 0.0130 0.2644 0.5990 1
O2 O 0.2019 0.4391 0.7590 1
```

Largest 10 diffraction maxima, sorted by position, 10 to 90 degrees two-theta:
2θ (°), I (rel.)
21.0, 173
22.1, 224
28.2, 1000
29.6, 450
30.7, 719
41.6, 156
41.7, 206
46.1, 156
53.3, 156
55.6, 164

Entry 2:
Simulated powder XRD pattern
Compound: K3S2O8
Radiation: Cu Kα
Structure: a cell relaxed with GGA-PBE
Intensities are scaled so that the largest is 1000.

Cell and atoms:
```
data_K3S2O8
_space_group_name_H-M_alt 'C 1 2/c 1'
_space_group_IT_number 15
_cell_length_a 14.8450
_cell_length_b 5.7755
_cell_length_c 9.8523
_cell_angle_alpha 90.00
_cell_angle_beta 103.22
_cell_angle_gamma 90.00
loop_
_space_group_symop_operation_xyz
'x,y,z'
'-x,-y,-z'
'-x,y,-z+1/2'
'x,-y,z+1/2'
'x+1/2,y+1/2,z'
'-x+1/2,-y+1/2,-z'
'-x+1/2,y+1/2,-z+1/2'
'x+1/2,-y+1/2,z+1/2'
loop_
_atom_site_label
_atom_site_type_symbol
_atom_site_fract_x
_atom_site_fract_y
_atom_site_fract_z
_atom_site_occupancy
K1 K 0.0000 0.2437 0.2500 1
K2 K 0.1909 0.2741 0.6507 1
S1 S 0.1139 0.2160 0.9633 1
O1 O 0.0097 0.1919 0.9375 1
O2 O 0.1297 0.4372 0.8941 1
O3 O 0.1519 0.0166 0.8997 1
O4 O 0.1534 0.2281 0.1154 1
```

Largest 10 diffraction maxima, sorted by position, 10 to 90 degrees two-theta:
2θ (°), I (rel.)
27.3, 1000
31.0, 237
31.3, 506
37.0, 100
37.3, 105
41.7, 223
42.3, 149
45.6, 103
53.4, 89
65.4, 84

Entry 3:
Simulated powder XRD pattern
Compound: K2S2O5
Radiation: Cu Kα
Structure: a cell relaxed with GGA-PBE
Intensities are scaled so that the largest is 1000.

Cell and atoms:
```
data_K2S2O5
_space_group_name_H-M_alt 'P 1 21/m 1'
_space_group_IT_number 11
_cell_length_a 6.9991
_cell_length_b 6.6030
_cell_length_c 8.7756
_cell_angle_alpha 90.00
_cell_angle_beta 110.61
_cell_angle_gamma 90.00
loop_
_space_group_symop_operation_xyz
'x,y,z'
'-x,-y,-z'
'-x,y+1/2,-z'
'x,-y+1/2,z'
loop_
_atom_site_label
_atom_site_type_symbol
_atom_site_fract_x
_atom_site_fract_y
_atom_site_fract_z
_atom_site_occupancy
K1 K 0.2225 0.2500 0.0089 1
K2 K 0.2624 0.2500 0.4849 1
S1 S 0.1854 0.7500 0.8263 1
S2 S 0.3389 0.7500 0.6330 1
O1 O 0.0546 0.5641 0.7864 1
O2 O 0.3354 0.7500 0.9938 1
O3 O 0.4710 0.5635 0.6765 1
```

Largest 10 diffraction maxima, sorted by position, 10 to 90 degrees two-theta:
2θ (°), I (rel.)
17.2, 1000
20.1, 470
25.1, 103
27.0, 283
28.2, 580
32.5, 445
34.9, 236
37.2, 254
38.7, 413
43.5, 176